1.
This entry pairs a crystal structure of Nd4Si3S12 with its simulated X-ray powder pattern. Radiation: a wavelength of 1.5418 Å. Structure: DFT lattice parameters and positions (PBE).
Neutral-atom scattering factors, no anomalous dispersion.

Top 8 peaks for 2θ = 10–80°, by angle:
4.949 Å, rel. 73
3.644 Å, rel. 100
3.371 Å, rel. 45
2.762 Å, rel. 52
2.561 Å, rel. 51
2.474 Å, rel. 30
2.426 Å, rel. 38
2.410 Å, rel. 43

Structure:
Lattice parameters (Å, degrees): 19.2815 19.2815 7.9735 90.00 90.00 120.00
Space group R3c (No. 161, hexagonal axes)
One atom of each set of equivalent atoms:
Nd  0.0000  0.0000  0.0000 [6 per cell]
Nd  0.0046  0.2334  0.2122 [18 per cell]
Si  0.1477  0.4677  0.3261 [18 per cell]
S  0.0659  0.3987  0.5207 [18 per cell]
S  0.0844  0.2018  0.5091 [18 per cell]
S  0.1253  0.0616  0.7496 [18 per cell]
S  0.1527  0.3810  0.1693 [18 per cell]

2.
This entry pairs a crystal structure of Np2UF8 with its simulated X-ray powder pattern. Radiation: a wavelength of 1.5418 Å. Structure: DFT lattice parameters and positions (PBE).
Neutral-atom scattering factors, no anomalous dispersion.

Top 8 peaks for 2θ = 10–80°, by angle:
3.380 Å, rel. 100
3.363 Å, rel. 45
3.291 Å, rel. 88
2.715 Å, rel. 46
2.113 Å, rel. 86
1.945 Å, rel. 23
1.681 Å, rel. 38
1.647 Å, rel. 31

Structure:
Lattice parameters (Å, degrees): 3.910 6.727 11.320 90.00 90.00 90.00
Space group Immm (No. 71)
One atom of each set of equivalent atoms:
Np  0.000  0.000  0.183 [4 per cell]
U  0.000  0.000  0.500 [2 per cell]
F  0.000  0.196  0.000 [4 per cell]
F  0.000  0.275  0.341 [8 per cell]
F  0.000  0.500  0.145 [4 per cell]